For NaSi2Pd3, DFT lattice parameters and positions (PBE) gives the theoretical X-ray diffraction stick pattern in this record (a wavelength of 1.5418 Å).
Peak positions follow from Bragg's law for the DFT cell and can differ from measured ones.

Peak list (12 most intense, 10 to 90 degrees two-theta, sorted by position)
| 2θ (°) | Rel. int. |
| --- | --- |
| 17.8 | 100 |
| 25.2 | 42 |
| 31.0 | 34 |
| 36.0 | 94 |
| 36.2 | 47 |
| 40.5 | 38 |
| 41.4 | 23 |
| 44.5 | 73 |
| 44.6 | 35 |
| 45.4 | 38 |
| 64.6 | 15 |
| 65.0 | 21 |

Cell and atoms:
```
12
Lattice="-3.538 4.960 2.885 3.538 -4.960 2.885 3.538 4.960 -2.885" Properties=species:S:1:pos:R:3 pbc="T T T"
Na 0.000 0.000 0.000
Na 0.000 4.960 2.519
Si 3.538 -1.561 2.422
Si 3.538 3.084 0.303
Si 3.538 1.561 2.422
Si 0.000 1.876 3.188
Pd -1.422 2.472 1.312
Pd 1.422 2.472 1.312
Pd 1.992 4.960 -0.099
Pd 1.546 0.000 2.785
Pd -1.422 7.448 1.312
Pd 1.422 7.448 1.312
```

***

For NaSnPd2, DFT lattice parameters and positions (PBE) gives the theoretical X-ray diffraction stick pattern in this record (a wavelength of 1.5418 Å).
Peak positions follow from Bragg's law for the DFT cell and can differ from measured ones.

Peak list (12 most intense, 10 to 90 degrees two-theta, sorted by position)
| 2θ (°) | Rel. int. |
| --- | --- |
| 23.4 | 17 |
| 27.1 | 5 |
| 38.7 | 100 |
| 45.8 | 9 |
| 47.9 | 1 |
| 55.9 | 17 |
| 61.5 | 4 |
| 63.2 | 2 |
| 70.1 | 34 |
| 75.1 | 3 |
| 83.1 | 11 |
| 87.8 | 4 |

Cell and atoms:
```
4
Lattice="0.000 3.288 3.288 3.288 0.000 3.288 3.288 3.288 0.000" Properties=species:S:1:pos:R:3 pbc="T T T"
Na 0.000 0.000 0.000
Sn 3.288 3.288 3.288
Pd 1.644 1.644 1.644
Pd 4.932 4.932 4.932
```

***

For NaSn2Pd3, DFT lattice parameters and positions (PBE) gives the theoretical X-ray diffraction stick pattern in this record (a wavelength of 1.5418 Å).
Peak positions follow from Bragg's law for the DFT cell and can differ from measured ones.

Peak list (12 most intense, 10 to 90 degrees two-theta, sorted by position)
| 2θ (°) | Rel. int. |
| --- | --- |
| 17.6 | 88 |
| 35.6 | 19 |
| 37.2 | 75 |
| 41.5 | 100 |
| 41.7 | 24 |
| 45.6 | 22 |
| 59.0 | 20 |
| 64.0 | 23 |
| 65.3 | 15 |
| 76.0 | 14 |
| 79.2 | 15 |
| 79.4 | 23 |

Cell and atoms:
```
6
Lattice="5.817 0.000 0.000 -2.909 5.038 0.000 0.000 0.000 4.329" Properties=species:S:1:pos:R:3 pbc="T T T"
Na 0.000 0.000 0.000
Sn 0.000 3.359 1.426
Sn 2.909 1.679 1.426
Pd -1.454 2.519 3.586
Pd 2.909 0.000 3.586
Pd 1.454 2.519 3.586
```

***

For NaTl2Pd, DFT lattice parameters and positions (PBE) gives the theoretical X-ray diffraction stick pattern in this record (a wavelength of 1.5418 Å).
Peak positions follow from Bragg's law for the DFT cell and can differ from measured ones.

Peak list (12 most intense, 10 to 90 degrees two-theta, sorted by position)
| 2θ (°) | Rel. int. |
| --- | --- |
| 21.6 | 6 |
| 25.0 | 30 |
| 35.7 | 100 |
| 42.1 | 3 |
| 44.1 | 9 |
| 51.4 | 18 |
| 56.4 | 1 |
| 58.0 | 13 |
| 64.2 | 37 |
| 75.7 | 11 |
| 81.2 | 7 |
| 86.6 | 16 |

Cell and atoms:
```
4
Lattice="0.000 3.555 3.555 3.555 0.000 3.555 3.555 3.555 0.000" Properties=species:S:1:pos:R:3 pbc="T T T"
Na 0.000 0.000 0.000
Tl 1.778 1.778 1.778
Tl 5.333 5.333 5.333
Pd 3.555 3.555 3.555
```

***

What did the second record say?
For NaSnPd2, DFT lattice parameters and positions (PBE) gives the theoretical X-ray diffraction stick pattern in this record (a wavelength of 1.5418 Å).
Peak positions follow from Bragg's law for the DFT cell and can differ from measured ones.

Peak list (12 most intense, 10 to 90 degrees two-theta, sorted by position)
| 2θ (°) | Rel. int. |
| --- | --- |
| 23.4 | 17 |
| 27.1 | 5 |
| 38.7 | 100 |
| 45.8 | 9 |
| 47.9 | 1 |
| 55.9 | 17 |
| 61.5 | 4 |
| 63.2 | 2 |
| 70.1 | 34 |
| 75.1 | 3 |
| 83.1 | 11 |
| 87.8 | 4 |

Cell and atoms:
```
4
Lattice="0.000 3.288 3.288 3.288 0.000 3.288 3.288 3.288 0.000" Properties=species:S:1:pos:R:3 pbc="T T T"
Na 0.000 0.000 0.000
Sn 3.288 3.288 3.288
Pd 1.644 1.644 1.644
Pd 4.932 4.932 4.932
```